The following is a simulated X-ray powder pattern of LiVP2O7. It was derived from a cell relaxed with PBE+U, using Cu Kα (λ = 1.5418 Å).

Principal peaks in the range 15° ≤ 2θ ≤ 90°, low angle first:
hkl 0 1 1, 15.1 deg, intensity 43; hkl 1 1 -1, 17.2 deg, intensity 60; hkl 0 2 0, 21.4 deg, intensity 31; hkl 1 2 -1, 25.4 deg, intensity 31; hkl 2 1 -2, 29.3 deg, intensity 82; hkl 1 2 -2, 29.6 deg, intensity 99; hkl 1 0 2, 30.2 deg, intensity 100; hkl 2 2 0, 35.4 deg, intensity 26; hkl 2 3 -2, 42.8 deg, intensity 33; hkl 3 3 -4, 57.9 deg, intensity 26

```
LiVP2O7
1.0
7.0580 0.0000 0.0000
0.0000 8.2978 0.0000
-3.7855 0.0000 8.2775
Li V P O
4 4 8 28
Direct
0.2036 0.0520 0.3304 Li
0.2036 0.4480 0.8304 Li
0.7964 0.5520 0.1696 Li
0.7964 0.9480 0.6696 Li
0.2626 0.0776 0.8874 V
0.2626 0.4224 0.3874 V
0.7374 0.5776 0.6126 V
0.7374 0.9224 0.1126 V
0.0370 0.7323 0.9665 P
0.0370 0.7677 0.4665 P
0.4408 0.7373 0.2586 P
0.4408 0.7627 0.7586 P
0.5592 0.2373 0.2414 P
0.5592 0.2627 0.7414 P
0.9630 0.2323 0.5335 P
0.9630 0.2677 0.0335 P
0.0227 0.0963 0.6586 O
0.0227 0.4037 0.1586 O
0.0767 0.6048 0.4034 O
0.0767 0.8952 0.9034 O
0.1186 0.2476 0.4564 O
0.1186 0.2524 0.9564 O
0.2496 0.6645 0.1031 O
0.2496 0.8355 0.6031 O
0.3817 0.2482 0.2988 O
0.3817 0.2518 0.7988 O
0.3851 0.6105 0.8160 O
0.3851 0.8895 0.3160 O
0.4864 0.5935 0.3827 O
0.4864 0.9065 0.8827 O
0.5136 0.0935 0.1173 O
0.5136 0.4065 0.6173 O
0.6149 0.1105 0.6840 O
0.6149 0.3895 0.1840 O
0.6183 0.7482 0.2012 O
0.6183 0.7518 0.7012 O
0.7504 0.1645 0.3969 O
0.7504 0.3355 0.8969 O
0.8814 0.7476 0.0436 O
0.8814 0.7524 0.5436 O
0.9233 0.1048 0.0966 O
0.9233 0.3952 0.5966 O
0.9773 0.5963 0.8414 O
0.9773 0.9037 0.3414 O
```